Entry 1:
Computed powder X-ray diffraction pattern
Compound: SrTlVO4
Radiation: Cu Kα (weighted mean of Kα1 and Kα2)
Structure: the GGA+U geometry in the Materials Project

Principal peaks in the range 15° ≤ 2θ ≤ 90°, by angle:
Position (°2θ), d (Å), I/Imax
20.80, 4.270, 43.8
25.78, 3.456, 36.6
27.67, 3.224, 45.0
29.08, 3.070, 69.4
30.01, 2.978, 58.2
30.29, 2.950, 100.0
35.30, 2.543, 32.4
36.23, 2.479, 30.3
42.34, 2.135, 31.6
53.03, 1.727, 30.7

Atomic structure:
a b c (Å): 5.955 7.668 10.189
angles (deg): 90.00 90.00 90.00
Atoms (fractional coordinates):
Sr: 0.022 0.249 0.205
Sr: 0.478 0.751 0.705
Sr: 0.522 0.251 0.795
Sr: 0.978 0.749 0.295
Tl: 0.020 0.415 0.577
Tl: 0.480 0.585 0.077
Tl: 0.520 0.085 0.423
Tl: 0.980 0.915 0.923
V: 0.015 0.968 0.582
V: 0.485 0.032 0.082
V: 0.515 0.532 0.418
V: 0.985 0.468 0.918
O: 0.001 0.050 0.421
O: 0.067 0.747 0.565
O: 0.240 0.509 0.836
O: 0.247 0.050 0.667
O: 0.253 0.950 0.167
O: 0.260 0.491 0.336
O: 0.433 0.253 0.065
O: 0.499 0.950 0.921
O: 0.501 0.450 0.579
O: 0.567 0.753 0.435
O: 0.740 0.991 0.164
O: 0.747 0.450 0.333
O: 0.753 0.550 0.833
O: 0.760 0.009 0.664
O: 0.933 0.247 0.935
O: 0.999 0.550 0.079

---

Entry 2:
Computed powder X-ray diffraction pattern
Compound: Sr2YTlV2O7
Radiation: Cu Kα (weighted mean of Kα1 and Kα2)
Structure: the GGA+U geometry in the Materials Project

Principal peaks in the range 15° ≤ 2θ ≤ 90°, by angle:
Position (°2θ), d (Å), I/Imax
30.27, 2.952, 100.0
31.32, 2.856, 95.6
32.46, 2.758, 98.6
33.20, 2.698, 24.3
42.95, 2.106, 22.5
45.08, 2.011, 29.4
48.02, 1.895, 38.2
53.69, 1.707, 48.2
55.91, 1.644, 36.9
57.85, 1.594, 40.3

Atomic structure:
a b c (Å): 3.789 4.023 13.041
angles (deg): 90.00 90.00 90.00
Atoms (fractional coordinates):
Sr: 0.000 0.000 0.183
Sr: 0.000 0.000 0.817
Y: 0.000 0.000 0.500
Tl: 0.500 0.500 0.000
V: 0.500 0.500 0.352
V: 0.500 0.500 0.648
O: 0.000 0.000 0.000
O: 0.000 0.500 0.397
O: 0.000 0.500 0.603
O: 0.500 0.000 0.387
O: 0.500 0.000 0.613
O: 0.500 0.500 0.207
O: 0.500 0.500 0.793

---

Entry 3:
Computed powder X-ray diffraction pattern
Compound: Sr8V6O19
Radiation: Cu Kα (weighted mean of Kα1 and Kα2)
Structure: the GGA+U geometry in the Materials Project

Principal peaks in the range 15° ≤ 2θ ≤ 90°, by angle:
Position (°2θ), d (Å), I/Imax
16.90, 5.246, 83.3
18.24, 4.863, 62.6
25.81, 3.452, 85.7
26.25, 3.395, 36.7
28.65, 3.115, 100.0
31.10, 2.876, 39.9
31.99, 2.798, 91.2
38.93, 2.313, 61.8
41.80, 2.161, 30.4
43.12, 2.098, 33.2

Atomic structure:
a b c (Å): 8.577 8.577 12.724
angles (deg): 92.48 92.48 42.60
Atoms (fractional coordinates):
Sr: 0.000 0.000 0.000
Sr: 0.079 0.079 0.685
Sr: 0.242 0.242 0.351
Sr: 0.315 0.315 0.682
Sr: 0.502 0.502 0.525
Sr: 0.592 0.592 0.101
Sr: 0.734 0.734 0.888
Sr: 0.823 0.823 0.156
V: 0.201 0.201 0.947
V: 0.361 0.361 0.076
V: 0.443 0.443 0.261
V: 0.670 0.670 0.327
V: 0.698 0.698 0.571
V: 0.886 0.886 0.708
O: 0.084 0.502 0.000
O: 0.175 0.679 0.655
O: 0.208 0.208 0.807
O: 0.236 0.661 0.127
O: 0.321 0.321 0.199
O: 0.353 0.897 0.968
O: 0.387 0.875 0.570
O: 0.393 0.393 0.389
O: 0.485 0.908 0.237
O: 0.502 0.084 0.000
O: 0.556 0.556 0.321
O: 0.661 0.236 0.127
O: 0.679 0.175 0.655
O: 0.749 0.749 0.435
O: 0.770 0.770 0.699
O: 0.875 0.387 0.570
O: 0.897 0.353 0.968
O: 0.908 0.485 0.237
O: 0.909 0.909 0.847

---

Entry 4:
Computed powder X-ray diffraction pattern
Compound: Sr5V3O13
Radiation: Cu Kα (weighted mean of Kα1 and Kα2)
Structure: the GGA+U geometry in the Materials Project

Principal peaks in the range 15° ≤ 2θ ≤ 90°, by angle:
Position (°2θ), d (Å), I/Imax
23.85, 3.730, 21.3
26.54, 3.359, 24.7
29.16, 3.063, 100.0
29.61, 3.017, 65.4
30.17, 2.962, 54.7
42.78, 2.114, 35.0
45.38, 1.999, 34.3
46.16, 1.967, 21.4
47.64, 1.909, 21.2
58.50, 1.578, 21.8

Atomic structure:
a b c (Å): 10.261 10.261 7.461
angles (deg): 90.00 90.00 120.00
Atoms (fractional coordinates):
Sr: 0.003 0.753 0.000
Sr: 0.247 0.250 0.000
Sr: 0.250 0.003 0.500
Sr: 0.333 0.667 0.251
Sr: 0.333 0.667 0.754
Sr: 0.667 0.333 0.254
Sr: 0.667 0.333 0.751
Sr: 0.750 0.997 0.000
Sr: 0.753 0.750 0.500
Sr: 0.997 0.247 0.500
V: 0.031 0.631 0.501
V: 0.369 0.400 0.501
V: 0.400 0.031 0.001
V: 0.600 0.969 0.501
V: 0.631 0.600 0.001
V: 0.969 0.369 0.001
O: 0.000 0.000 0.466
O: 0.000 0.000 0.966
O: 0.089 0.751 0.684
O: 0.093 0.747 0.315
O: 0.129 0.532 0.505
O: 0.164 0.487 0.001
O: 0.249 0.338 0.684
O: 0.253 0.346 0.315
O: 0.323 0.836 0.001
O: 0.338 0.089 0.184
O: 0.346 0.093 0.815
O: 0.402 0.871 0.505
O: 0.468 0.598 0.505
O: 0.487 0.323 0.501
O: 0.513 0.677 0.001
O: 0.532 0.402 0.005
O: 0.598 0.129 0.005
O: 0.654 0.907 0.315
O: 0.662 0.911 0.684
O: 0.677 0.164 0.501
O: 0.747 0.654 0.815
O: 0.751 0.662 0.184
O: 0.836 0.513 0.501
O: 0.871 0.468 0.005
O: 0.907 0.253 0.815
O: 0.911 0.249 0.184

---

What is the formula in the first record?
SrTlVO4